Entry 1:
This entry pairs a crystal structure of La2ZnSi4Pt3 with its theoretical powder XRD pattern. Radiation: Cu Kα. Structure: a PBE-relaxed structure.
Kinematic intensities with the Lorentz-polarization factor, no thermal factor.

Principal peaks in the range 10 to 90 degrees two-theta, most intense first:
Position (°2θ), I_rel, h k l
33.99, 100, 1 0 3
34.52, 81, 1 1 2
42.04, 77, 2 0 0
30.74, 69, 1 1 1
27.34, 52, 1 0 2
55.13, 51, 2 1 3
29.39, 29, 1 1 0
60.97, 26, 2 2 0
50.24, 26, 1 0 5
47.01, 24, 1 1 4

Crystal structure
a b c (Å): 4.298 4.298 10.019
angles (deg): 90.00 90.00 90.00
Space group P-4m2 (No. 115)
One atom of each set of equivalent atoms:
La1 0.000 0.500 0.248 x2
Zn1 0.000 0.000 0.500 x1
Si1 0.000 0.000 0.000 x1
Si2 0.000 0.500 0.636 x2
Si3 0.500 0.500 0.000 x1
Pt1 0.000 0.500 0.882 x2
Pt2 0.500 0.500 0.500 x1



Entry 2:
This entry pairs a crystal structure of Sr2SiHg with its theoretical powder XRD pattern. Radiation: Cu Kα. Structure: a PBE-relaxed structure.
Kinematic intensities with the Lorentz-polarization factor, no thermal factor.

Principal peaks in the range 10 to 90 degrees two-theta, most intense first:
Position (°2θ), I_rel, h k l
28.37, 100, 1 1 1
35.78, 66, 1 1 3
29.72, 47, 0 1 3
15.05, 41, 0 0 2
36.34, 30, 1 0 4
38.48, 24, 0 2 0
19.47, 22, 1 0 0
39.54, 22, 2 0 0
50.23, 22, 2 1 3
50.66, 21, 1 0 6

Crystal structure
a b c (Å): 4.559 4.679 11.771
angles (deg): 90.00 90.00 90.00
Space group Amm2 (No. 38)
One atom of each set of equivalent atoms:
Sr1 0.000 0.000 0.000 x2
Sr2 0.500 0.000 0.282 x2
Si1 0.000 0.000 0.713 x2
Hg1 0.500 0.000 0.578 x2



Entry 3:
This entry pairs a crystal structure of LiEr2Tl9 with its theoretical powder XRD pattern. Radiation: Cu Kα. Structure: a PBE-relaxed structure.
Kinematic intensities with the Lorentz-polarization factor, no thermal factor.

Principal peaks in the range 10 to 90 degrees two-theta, most intense first:
Position (°2θ), I_rel, h k l
32.65, 100, 1 1 3
37.83, 34, 2 0 0
65.06, 28, 3 1 3
54.70, 24, 2 0 6
38.00, 17, 0 0 6
65.29, 14, 1 1 9
68.42, 12, 2 2 6
54.57, 12, 2 2 0
89.92, 6, 3 3 3
18.68, 4, 1 0 0

Crystal structure
a b c (Å): 4.757 4.757 14.208
angles (deg): 90.00 90.00 90.00
Space group P4/mmm (No. 123)
One atom of each set of equivalent atoms:
Li1 0.000 0.000 0.000 x1
Er1 0.000 0.000 0.335 x2
Tl1 0.000 0.500 0.163 x4
Tl2 0.000 0.500 0.500 x2
Tl3 0.500 0.500 0.000 x1
Tl4 0.500 0.500 0.332 x2



Entry 4:
This entry pairs a crystal structure of CaPr2F8 with its theoretical powder XRD pattern. Radiation: Cu Kα. Structure: a PBE-relaxed structure.
Kinematic intensities with the Lorentz-polarization factor, no thermal factor.

Principal peaks in the range 10 to 90 degrees two-theta, most intense first:
Position (°2θ), I_rel, h k l
45.18, 100, 1 2 3
26.73, 84, 0 1 3
27.18, 78, 1 1 0
30.63, 42, 1 0 3
14.12, 35, 0 0 2
51.86, 29, 1 1 6
44.45, 28, 2 0 0
52.63, 26, 2 1 3
43.27, 23, 0 0 6
32.40, 19, 0 2 0

Crystal structure
a b c (Å): 4.076 5.527 12.545
angles (deg): 90.00 90.00 90.00
Space group Immm (No. 71)
One atom of each set of equivalent atoms:
Ca1 0.000 0.000 0.000 x2
Pr1 0.000 0.000 0.327 x4
F1 0.000 0.232 0.500 x4
F2 0.000 0.260 0.142 x8
F3 0.000 0.500 0.304 x4



Entry 5:
This entry pairs a crystal structure of Th7In2Ir2 with its theoretical powder XRD pattern. Radiation: Cu Kα. Structure: a PBE-relaxed structure.
Kinematic intensities with the Lorentz-polarization factor, no thermal factor.

Principal peaks in the range 10 to 90 degrees two-theta, most intense first:
Position (°2θ), I_rel, h k l
36.89, 100, 2 2 2
31.36, 69, 0 4 0
26.31, 54, 2 2 0
28.67, 45, 1 1 2
24.66, 37, 2 0 1
36.44, 33, 1 3 2
59.49, 23, 2 6 2
42.97, 22, 4 0 0
33.25, 22, 2 0 2
54.15, 22, 4 4 0

Crystal structure
a b c (Å): 8.419 11.412 7.014
angles (deg): 90.00 90.00 90.00
Space group Cmmm (No. 65)
One atom of each set of equivalent atoms:
Th1 0.000 0.000 0.000 x2
Th2 0.000 0.500 0.242 x4
Th3 0.250 0.250 0.264 x8
In1 0.168 0.000 0.500 x4
Ir1 0.000 0.267 0.000 x4



Entry 6:
This entry pairs a crystal structure of Na5B6C4 with its theoretical powder XRD pattern. Radiation: Cu Kα. Structure: a PBE-relaxed structure.
Kinematic intensities with the Lorentz-polarization factor, no thermal factor.

Principal peaks in the range 10 to 90 degrees two-theta, most intense first:
Position (°2θ), I_rel, h k l
42.41, 100, 5 1 0
41.97, 51, 6 0 2
42.62, 39, 8 0 -4
36.46, 18, 1 1 2
64.95, 17, 3 1 6
80.83, 17, 11 1 2
77.87, 13, 13 1 -4
81.30, 11, 6 2 2
57.30, 10, 9 1 -2
35.95, 9, 2 0 4

Crystal structure
a b c (Å): 17.690 2.833 13.114
angles (deg): 90.00 113.95 90.00
Space group C2/m (No. 12)
One atom of each set of equivalent atoms:
Na1 0.000 0.000 0.000 x2
Na2 0.000 0.000 0.500 x2
Na3 0.099 0.500 0.201 x4
Na4 0.099 0.500 0.701 x4
Na5 0.200 0.000 0.400 x4
Na6 0.200 0.000 0.900 x4
B1 0.033 0.000 0.315 x4
B2 0.039 0.000 0.828 x4
B3 0.073 0.500 0.395 x4
B4 0.137 0.500 0.023 x4
B5 0.169 0.000 0.589 x4
B6 0.234 0.000 0.217 x4
C1 0.070 0.500 0.892 x4
C2 0.138 0.500 0.524 x4
C3 0.169 0.000 0.086 x4
C4 0.234 0.000 0.719 x4



Entry 7:
This entry pairs a crystal structure of Pm3PrC8 with its theoretical powder XRD pattern. Radiation: Cu Kα. Structure: a PBE-relaxed structure.
Kinematic intensities with the Lorentz-polarization factor, no thermal factor.

Principal peaks in the range 10 to 90 degrees two-theta, most intense first:
Position (°2θ), I_rel, h k l
28.57, 100, 2 0 2
46.12, 60, 4 2 2
24.85, 56, 2 2 0
35.42, 35, 4 0 0
52.75, 20, 2 2 4
71.16, 15, 6 4 2
76.40, 14, 6 2 4
57.50, 13, 6 2 0
59.15, 12, 4 0 4
59.47, 12, 6 0 2

Crystal structure
a b c (Å): 10.130 10.142 7.934
angles (deg): 90.00 90.00 90.00
Space group Fmm2 (No. 42)
One atom of each set of equivalent atoms:
Pm1 0.000 0.000 0.000 x4
Pm2 0.250 0.250 0.250 x8
Pr1 0.000 0.000 0.500 x4
C1 0.000 0.167 0.258 x8
C2 0.000 0.234 0.860 x8
C3 0.167 0.000 0.743 x8
C4 0.234 0.000 0.140 x8



Entry 8:
This entry pairs a crystal structure of TmLuTlRh with its theoretical powder XRD pattern. Radiation: Cu Kα. Structure: a PBE-relaxed structure.
Kinematic intensities with the Lorentz-polarization factor, no thermal factor.

Principal peaks in the range 10 to 90 degrees two-theta, most intense first:
Position (°2θ), I_rel, h k l
35.72, 100, 2 2 0
64.17, 37, 4 2 2
51.41, 18, 4 0 0
86.59, 17, 6 2 0
75.66, 11, 4 4 0
21.65, 5, 1 1 1
42.15, 3, 3 1 1
56.41, 1, 3 3 1
79.80, 1, 5 3 1
68.58, 1, 5 1 1

Crystal structure
a b c (Å): 7.110 7.110 7.110
angles (deg): 90.00 90.00 90.00
Space group F-43m (No. 216)
One atom of each set of equivalent atoms:
Tm1 0.000 0.000 0.000 x4
Lu1 0.000 0.000 0.500 x4
Tl1 0.250 0.250 0.750 x4
Rh1 0.250 0.250 0.250 x4



Entry 9:
This entry pairs a crystal structure of NdMg12 with its theoretical powder XRD pattern. Radiation: Cu Kα. Structure: a PBE-relaxed structure.
Kinematic intensities with the Lorentz-polarization factor, no thermal factor.

Principal peaks in the range 10 to 90 degrees two-theta, most intense first:
Position (°2θ), I_rel, h k l
34.99, 100, 3 2 1
24.46, 66, 2 1 1
34.62, 65, 2 0 2
30.15, 58, 3 0 1
12.25, 52, 1 1 0
17.11, 45, 1 0 1
35.12, 43, 4 0 0
27.60, 28, 3 1 0
56.21, 25, 3 2 3
62.92, 20, 6 3 1

Crystal structure
a b c (Å): 10.222 10.222 6.013
angles (deg): 90.00 90.00 90.00
Space group I4/mmm (No. 139)
One atom of each set of equivalent atoms:
Nd1 0.000 0.000 0.000 x2
Mg1 0.000 0.212 0.500 x8
Mg2 0.000 0.350 0.000 x8
Mg3 0.250 0.250 0.250 x8



Entry 10:
This entry pairs a crystal structure of Ho2PuAu4 with its theoretical powder XRD pattern. Radiation: Cu Kα. Structure: a PBE-relaxed structure.
Kinematic intensities with the Lorentz-polarization factor, no thermal factor.

Principal peaks in the range 10 to 90 degrees two-theta, most intense first:
Position (°2θ), I_rel, h k l
37.01, 100, 1 1 2
34.93, 59, 2 0 0
64.00, 41, 3 1 2
50.23, 21, 2 2 0
68.02, 17, 2 0 4
78.80, 11, 2 2 4
84.30, 10, 4 2 0
85.52, 10, 3 3 2
17.26, 10, 1 0 0
28.10, 9, 1 1 1

Crystal structure
a b c (Å): 5.138 5.138 6.533
angles (deg): 90.00 90.00 90.00
Space group P4/mmm (No. 123)
One atom of each set of equivalent atoms:
Ho1 0.000 0.000 0.000 x1
Ho2 0.500 0.500 0.500 x1
Pu1 0.000 0.000 0.500 x1
Au1 0.000 0.500 0.240 x4



Entry 11:
This entry pairs a crystal structure of Hf2Au2N with its theoretical powder XRD pattern. Radiation: Cu Kα. Structure: a PBE-relaxed structure.
Kinematic intensities with the Lorentz-polarization factor, no thermal factor.

Principal peaks in the range 10 to 90 degrees two-theta, most intense first:
Position (°2θ), I_rel, h k l
37.18, 100, 2 1 1
18.15, 25, 1 1 0
41.29, 20, 3 1 0
78.46, 15, 5 2 1
46.83, 12, 0 0 2
80.50, 11, 2 1 3
64.18, 11, 3 1 2
60.11, 11, 4 1 1
25.77, 11, 2 0 0
56.47, 10, 3 3 0

Crystal structure
a b c (Å): 6.914 6.914 3.880
angles (deg): 90.00 90.00 90.00
Space group P4/mbm (No. 127)
One atom of each set of equivalent atoms:
Hf1 0.165 0.335 0.000 x4
Au1 0.140 0.640 0.500 x4
N1 0.000 0.000 0.500 x2



Entry 12:
This entry pairs a crystal structure of CaMo2Se with its theoretical powder XRD pattern. Radiation: Cu Kα. Structure: a PBE-relaxed structure.
Kinematic intensities with the Lorentz-polarization factor, no thermal factor.

Principal peaks in the range 10 to 90 degrees two-theta, most intense first:
Position (°2θ), I_rel, h k l
36.98, 100, 1 0 4
38.29, 88, 1 1 1
12.14, 79, 0 0 2
42.26, 63, 1 1 3
31.58, 58, 0 1 3
65.95, 35, 1 2 4
51.07, 30, 0 1 7
40.32, 27, 0 1 5
24.41, 25, 0 0 4
26.29, 25, 0 1 1

Crystal structure
a b c (Å): 3.262 3.486 14.584
angles (deg): 90.00 90.00 90.00
Space group Amm2 (No. 38)
One atom of each set of equivalent atoms:
Ca1 0.000 0.000 0.000 x2
Mo1 0.000 0.000 0.758 x2
Mo2 0.500 0.000 0.335 x2
Se1 0.500 0.000 0.617 x2